1.
For Ba2AlCdCu, a DFT-relaxed cell (PBE, Alexandria) gives the simulated PXRD pattern in this record (Cu Ka).
Intensities are scaled so that the largest is 100.

Most intense lines, 2θ = 10–90°, sorted by position:
Position (°2θ)	I/Imax
23.8	32
27.9	100
28.7	93
38.6	21
41.1	35
48.8	42
50.4	38
57.6	25

Structural model:
Lattice parameters (Å, degrees): 6.2188 6.2188 4.6677 90.00 90.00 90.00
Atoms (fractional coordinates):
Ba  0.0000  0.5000  0.0000
Ba  0.5000  0.0000  0.0000
Al  0.0000  0.0000  0.5000
Cd  0.5000  0.5000  0.5000
Cu  0.0000  0.0000  0.0000

=====

2.
For BaAlCdF7, a DFT-relaxed cell (PBE, Alexandria) gives the simulated PXRD pattern in this record (Cu Ka).
Intensities are scaled so that the largest is 100.

Most intense lines, 2θ = 10–90°, sorted by position:
Position (°2θ)	I/Imax
25.2	100
26.5	30
27.3	26
29.6	34
29.9	29
33.5	20
43.0	29
43.7	19

Structural model:
Lattice parameters (Å, degrees): 7.5346 7.5346 15.0401 91.72 91.72 41.62
Atoms (fractional coordinates):
Ba  0.1605  0.2222  0.1233
Ba  0.2222  0.1605  0.6233
Ba  0.7778  0.8395  0.3767
Ba  0.8395  0.7778  0.8767
Al  0.1109  0.1346  0.8754
Al  0.1346  0.1109  0.3754
Al  0.8654  0.8891  0.6246
Al  0.8891  0.8654  0.1246
Cd  0.4529  0.5471  0.2500
Cd  0.5000  0.5000  0.0000
Cd  0.5000  0.5000  0.5000
Cd  0.5471  0.4529  0.7500
F  0.0491  0.6289  0.2186
F  0.0684  0.7545  0.5245
F  0.1043  0.8939  0.1516
F  0.1061  0.8957  0.3484
F  0.1410  0.6200  0.6963
F  0.1595  0.5706  0.0515
F  0.1937  0.2974  0.4054
F  0.2455  0.9316  0.9755
F  0.2974  0.1937  0.9054
F  0.3435  0.5208  0.8717
F  0.3711  0.9509  0.2814
F  0.3800  0.8590  0.8037
F  0.4294  0.8405  0.4485
F  0.4792  0.6565  0.6283
F  0.5208  0.3435  0.3717
F  0.5706  0.1595  0.5515
F  0.6200  0.1410  0.1963
F  0.6289  0.0491  0.7186
F  0.6565  0.4792  0.1283
F  0.7026  0.8063  0.0946
F  0.7545  0.0684  0.0245
F  0.8063  0.7026  0.5946
F  0.8405  0.4294  0.9485
F  0.8590  0.3800  0.3037
F  0.8939  0.1043  0.6516
F  0.8957  0.1061  0.8484
F  0.9316  0.2455  0.4755
F  0.9509  0.3711  0.7814